Entry 1:
Structure and computed XRD peak list of TaTi6Ga4 (a GGA-PBE-relaxed structure; Cu Kα (λ = 1.5418 Å)).
Intensities are scaled so that the largest is 100.

Most intense lines, 10° ≤ 2θ ≤ 90°, by angle:
2theta	d/Å	I_rel
18.11	4.898	46
19.68	4.511	30
32.69	2.739	73
33.53	2.673	36
42.03	2.150	100
43.55	2.078	55

Atomic structure:
a b c (Å): 6.659 6.659 6.659
angles (deg): 122.76 122.76 85.29
Positions (direct):
Ta 0.000 0.000 0.000
Ti 0.000 0.500 0.500
Ti 0.104 0.104 0.646
Ti 0.458 0.458 0.354
Ti 0.500 0.000 0.500
Ti 0.542 0.896 0.000
Ti 0.896 0.542 0.000
Ga 0.258 0.606 0.000
Ga 0.394 0.394 0.653
Ga 0.606 0.258 0.000
Ga 0.742 0.742 0.347

***

Entry 2:
Structure and computed XRD peak list of TaTi4Ga3 (a GGA-PBE-relaxed structure; Cu Kα (λ = 1.5418 Å)).
Intensities are scaled so that the largest is 100.

Most intense lines, 10° ≤ 2θ ≤ 90°, by angle:
2theta	d/Å	I_rel
29.18	3.060	14
39.35	2.290	100
41.74	2.164	42
60.51	1.530	13
69.69	1.349	17
74.59	1.272	28

Atomic structure:
a b c (Å): 4.328 4.328 6.903
angles (deg): 90.00 90.00 90.00
Positions (direct):
Ta 0.000 0.000 0.000
Ti 0.000 0.500 0.250
Ti 0.000 0.500 0.750
Ti 0.500 0.000 0.250
Ti 0.500 0.000 0.750
Ga 0.000 0.000 0.500
Ga 0.500 0.500 0.000
Ga 0.500 0.500 0.500

***

Entry 3:
Structure and computed XRD peak list of TaTi6Ga3 (a GGA-PBE-relaxed structure; Cu Kα (λ = 1.5418 Å)).
Intensities are scaled so that the largest is 100.

Most intense lines, 10° ≤ 2θ ≤ 90°, by angle:
2theta	d/Å	I_rel
17.64	5.028	23
18.37	4.828	14
27.50	3.244	20
39.05	2.307	100
39.62	2.275	56
39.83	2.263	22

Atomic structure:
a b c (Å): 7.233 7.233 6.488
angles (deg): 90.00 90.00 91.92
Positions (direct):
Ta 0.141 0.859 0.750
Ta 0.859 0.141 0.250
Ti 0.001 0.496 0.750
Ti 0.167 0.167 0.000
Ti 0.167 0.167 0.500
Ti 0.332 0.668 0.016
Ti 0.332 0.668 0.484
Ti 0.496 0.001 0.250
Ti 0.504 0.999 0.750
Ti 0.668 0.332 0.516
Ti 0.668 0.332 0.984
Ti 0.833 0.833 0.000
Ti 0.833 0.833 0.500
Ti 0.999 0.504 0.250
Ga 0.128 0.872 0.250
Ga 0.365 0.376 0.750
Ga 0.376 0.365 0.250
Ga 0.624 0.635 0.750
Ga 0.635 0.624 0.250
Ga 0.872 0.128 0.750

***

Entry 4:
Structure and computed XRD peak list of TaTiGa3 (a GGA-PBE-relaxed structure; Cu Kα (λ = 1.5418 Å)).
Intensities are scaled so that the largest is 100.

Most intense lines, 10° ≤ 2θ ≤ 90°, by angle:
2theta	d/Å	I_rel
18.18	4.881	36
31.67	2.825	49
37.45	2.401	38
38.75	2.324	100
41.58	2.172	82
42.71	2.117	78

Atomic structure:
a b c (Å): 6.847 6.847 7.075
angles (deg): 90.00 90.00 89.08
Positions (direct):
Ta 0.142 0.858 0.917
Ta 0.358 0.642 0.417
Ta 0.642 0.358 0.583
Ta 0.858 0.142 0.083
Ti 0.172 0.328 0.750
Ti 0.328 0.172 0.250
Ti 0.672 0.828 0.750
Ti 0.828 0.672 0.250
Ga 0.009 0.333 0.403
Ga 0.085 0.915 0.303
Ga 0.167 0.491 0.097
Ga 0.333 0.009 0.597
Ga 0.415 0.585 0.803
Ga 0.491 0.167 0.903
Ga 0.509 0.833 0.097
Ga 0.585 0.415 0.197
Ga 0.667 0.991 0.403
Ga 0.833 0.509 0.903
Ga 0.915 0.085 0.697
Ga 0.991 0.667 0.597

***

Entry 5:
Structure and computed XRD peak list of TaTi2Ga (a GGA-PBE-relaxed structure; Cu Kα (λ = 1.5418 Å)).
Intensities are scaled so that the largest is 100.

Most intense lines, 10° ≤ 2θ ≤ 90°, by angle:
2theta	d/Å	I_rel
14.31	6.189	27
27.08	3.293	28
30.76	2.907	19
38.67	2.328	55
39.98	2.255	100
70.87	1.330	35

Atomic structure:
a b c (Å): 3.293 3.293 6.189
angles (deg): 90.00 90.00 90.00
Positions (direct):
Ta 0.000 0.000 0.000
Ti 0.500 0.500 0.252
Ti 0.500 0.500 0.748
Ga 0.000 0.000 0.500

***

Entry 6:
Structure and computed XRD peak list of Ta4V3Ga5 (a GGA-PBE-relaxed structure; Cu Kα (λ = 1.5418 Å)).
Intensities are scaled so that the largest is 100.

Most intense lines, 10° ≤ 2θ ≤ 90°, by angle:
2theta	d/Å	I_rel
21.26	4.179	50
37.27	2.413	100
38.87	2.317	58
41.10	2.196	89
41.63	2.169	82
54.94	1.671	42

Atomic structure:
a b c (Å): 5.442 5.442 9.926
angles (deg): 113.38 113.38 52.64
Positions (direct):
Ta 0.026 0.026 0.366
Ta 0.209 0.209 0.919
Ta 0.791 0.791 0.081
Ta 0.974 0.974 0.634
V 0.000 0.000 0.000
V 0.421 0.421 0.217
V 0.579 0.579 0.783
Ga 0.280 0.280 0.680
Ga 0.355 0.355 0.448
Ga 0.500 0.500 0.000
Ga 0.645 0.645 0.552
Ga 0.720 0.720 0.320

***

Entry 7:
Structure and computed XRD peak list of TaVGa4 (a GGA-PBE-relaxed structure; Cu Kα (λ = 1.5418 Å)).
Intensities are scaled so that the largest is 100.

Most intense lines, 10° ≤ 2θ ≤ 90°, by angle:
2theta	d/Å	I_rel
28.12	3.174	23
39.42	2.286	37
40.43	2.231	69
40.96	2.203	100
58.13	1.587	24
83.63	1.156	16

Atomic structure:
a b c (Å): 4.409 4.409 5.434
angles (deg): 90.00 90.00 117.55
Positions (direct):
Ta 0.000 0.000 0.000
V 0.000 0.000 0.500
Ga 0.332 0.668 0.256
Ga 0.332 0.668 0.744
Ga 0.668 0.332 0.256
Ga 0.668 0.332 0.744

***

Entry 8:
Structure and computed XRD peak list of Y3TaGa (a GGA-PBE-relaxed structure; Cu Kα (λ = 1.5418 Å)).
Intensities are scaled so that the largest is 100.

Most intense lines, 10° ≤ 2θ ≤ 90°, by angle:
2theta	d/Å	I_rel
16.26	5.452	78
23.07	3.855	45
32.85	2.726	100
36.86	2.438	41
47.15	1.928	72
78.45	1.219	31

Atomic structure:
a b c (Å): 5.452 5.452 5.452
angles (deg): 90.00 90.00 90.00
Positions (direct):
Y 0.000 0.000 0.500
Y 0.000 0.500 0.000
Y 0.500 0.000 0.000
Ta 0.000 0.000 0.000
Ga 0.500 0.500 0.500

***

Entry 9:
Structure and computed XRD peak list of YTaGa6 (a GGA-PBE-relaxed structure; Cu Kα (λ = 1.5418 Å)).
Intensities are scaled so that the largest is 100.

Most intense lines, 10° ≤ 2θ ≤ 90°, by angle:
2theta	d/Å	I_rel
19.44	4.567	18
35.62	2.521	89
39.46	2.283	100
45.66	1.987	44
61.90	1.499	35
75.42	1.260	24

Atomic structure:
a b c (Å): 5.271 5.271 6.045
angles (deg): 90.00 90.00 119.90
Positions (direct):
Y 0.000 0.000 0.000
Ta 0.000 0.000 0.500
Ga 0.000 0.500 0.271
Ga 0.000 0.500 0.729
Ga 0.500 0.000 0.271
Ga 0.500 0.000 0.729
Ga 0.500 0.500 0.273
Ga 0.500 0.500 0.727

***

Entry 10:
Structure and computed XRD peak list of Ta4ZnGa (a GGA-PBE-relaxed structure; Cu Kα (λ = 1.5418 Å)).
Intensities are scaled so that the largest is 100.

Most intense lines, 10° ≤ 2θ ≤ 90°, by angle:
2theta	d/Å	I_rel
35.18	2.551	15
36.38	2.470	100
40.74	2.215	17
45.45	1.996	26
45.74	1.984	15
63.91	1.457	20

Atomic structure:
a b c (Å): 6.311 6.311 5.102
angles (deg): 90.00 90.00 90.00
Positions (direct):
Ta 0.154 0.343 0.000
Ta 0.154 0.657 0.500
Ta 0.343 0.154 0.500
Ta 0.343 0.846 0.000
Ta 0.657 0.154 0.000
Ta 0.657 0.846 0.500
Ta 0.846 0.343 0.500
Ta 0.846 0.657 0.000
Zn 0.000 0.000 0.250
Zn 0.000 0.000 0.750
Ga 0.500 0.500 0.250
Ga 0.500 0.500 0.750

***

Entry 11:
Structure and computed XRD peak list of ZrTa4Ga4 (a GGA-PBE-relaxed structure; Cu Kα (λ = 1.5418 Å)).
Intensities are scaled so that the largest is 100.

Most intense lines, 10° ≤ 2θ ≤ 90°, by angle:
2theta	d/Å	I_rel
15.80	5.610	50
35.79	2.509	54
36.78	2.443	92
38.28	2.351	100
40.00	2.254	57
44.81	2.023	49

Atomic structure:
a b c (Å): 7.934 7.934 5.136
angles (deg): 90.00 90.00 90.00
Positions (direct):
Zr 0.250 0.250 0.250
Zr 0.750 0.750 0.750
Ta 0.096 0.805 0.628
Ta 0.195 0.596 0.128
Ta 0.305 0.904 0.128
Ta 0.404 0.695 0.628
Ta 0.596 0.305 0.372
Ta 0.695 0.096 0.872
Ta 0.805 0.404 0.872
Ta 0.904 0.195 0.372
Ga 0.048 0.126 0.845
Ga 0.126 0.452 0.655
Ga 0.374 0.048 0.655
Ga 0.452 0.374 0.845
Ga 0.548 0.626 0.155
Ga 0.626 0.952 0.345
Ga 0.874 0.548 0.345
Ga 0.952 0.874 0.155

***

Entry 12:
Structure and computed XRD peak list of ZrTaGa4 (a GGA-PBE-relaxed structure; Cu Kα (λ = 1.5418 Å)).
Intensities are scaled so that the largest is 100.

Most intense lines, 10° ≤ 2θ ≤ 90°, by angle:
2theta	d/Å	I_rel
34.54	2.597	49
40.74	2.215	100
42.64	2.121	23
61.88	1.499	18
66.09	1.414	31
72.84	1.299	23

Atomic structure:
a b c (Å): 5.194 5.194 5.194
angles (deg): 60.00 60.00 60.00
Positions (direct):
Zr 0.000 0.000 0.000
Ta 0.750 0.750 0.750
Ga 0.375 0.375 0.375
Ga 0.375 0.375 0.874
Ga 0.375 0.874 0.375
Ga 0.874 0.375 0.375